Simulated powder diffractogram of K5Pb for λ = 1.5418 Å (Cu Kα), from a structure optimized by DFT (PBE).

Structural model:
```
data_K5Pb
_chemical_formula_sum 'K10 Pb2'
_symmetry_space_group_name_H-M 'P m m n'
_symmetry_Int_Tables_number 59
_cell_length_a 4.659
_cell_length_b 13.518
_cell_length_c 10.810
_cell_angle_alpha 90.00
_cell_angle_beta 90.00
_cell_angle_gamma 90.00
loop_
_symmetry_equiv_pos_as_xyz
'x,y,z'
'-x,-y,-z'
'-x+1/2,-y+1/2,z'
'x+1/2,y+1/2,-z'
'x+1/2,-y,-z'
'-x+1/2,y,z'
'-x,y+1/2,-z'
'x,-y+1/2,z'
loop_
_atom_site_label
_atom_site_type_symbol
_atom_site_fract_x
_atom_site_fract_y
_atom_site_fract_z
_atom_site_occupancy
K1 K 0.250 0.097 0.183 1
K2 K 0.250 0.107 0.577 1
K3 K 0.250 0.750 0.109 1
Pb1 Pb 0.250 0.750 0.624 1
```

Peak list (10 most intense, 2θ = 15–90°, low angle first)
| 2θ (°) | intensity | hkl |
| --- | --- | --- |
| 17.7 | 42.7 | 0 1 2 |
| 20.2 | 24.2 | 1 1 0 |
| 24.6 | 26.9 | 1 2 1 |
| 25.2 | 100.0 | 1 0 2 |
| 25.7 | 90.8 | 0 3 2 |
| 27.5 | 91.3 | 1 3 0 |
| 28.5 | 44.3 | 1 2 2 |
| 43.6 | 25.1 | 1 3 4 |
| 47.0 | 34.4 | 2 3 2 |
| 47.9 | 30.7 | 1 6 2 |